[1]
For TiBi2Se5, a structure optimized by DFT (GGA-PBE) gives the calculated powder diffraction line list in this record (λ = 1.5418 Å (Cu Kα)).

Structural model:
Cell lengths 7.539, 7.539, 13.134 Å; angles 90.00, 90.00, 136.90 degrees
Element x y z (fractional)
Ti  0.186  0.814  0.750
Ti  0.814  0.186  0.250
Bi  0.148  0.852  0.066
Bi  0.148  0.852  0.434
Bi  0.852  0.148  0.566
Bi  0.852  0.148  0.934
Se  0.054  0.946  0.625
Se  0.054  0.946  0.875
Se  0.277  0.723  0.250
Se  0.301  0.699  0.594
Se  0.301  0.699  0.906
Se  0.699  0.301  0.094
Se  0.699  0.301  0.406
Se  0.723  0.277  0.750
Se  0.946  0.054  0.125
Se  0.946  0.054  0.375

Main lines, in order of rising 2θ (5° ≤ 2θ ≤ 70°):
d/Å, I (rel.)
7.012, 435
5.151, 1000
3.714, 776
2.769, 817
2.737, 553
2.220, 396
2.172, 609
1.946, 407

[2]
For Tl9BiSe6, a structure optimized by DFT (GGA-PBE) gives the calculated powder diffraction line list in this record (λ = 1.5418 Å (Cu Kα)).

Structural model:
Cell lengths 9.000, 9.000, 9.000 Å; angles 122.89, 122.89, 85.05 degrees
Element x y z (fractional)
Tl  0.000  0.000  0.000
Tl  0.007  0.484  0.799
Tl  0.208  0.007  0.523
Tl  0.315  0.792  0.799
Tl  0.484  0.685  0.477
Tl  0.516  0.315  0.523
Tl  0.685  0.208  0.201
Tl  0.792  0.993  0.477
Tl  0.993  0.516  0.201
Bi  0.500  0.500  0.000
Se  0.181  0.352  0.532
Se  0.274  0.274  0.000
Se  0.352  0.819  0.171
Se  0.648  0.181  0.829
Se  0.726  0.726  0.000
Se  0.819  0.648  0.468

Main lines, in order of rising 2θ (5° ≤ 2θ ≤ 70°):
d/Å, I (rel.)
3.695, 164
2.904, 1000
2.721, 457
2.211, 103
1.887, 96
1.804, 93
1.716, 143
1.503, 163

[3]
For Tl14Bi2Se9, a structure optimized by DFT (GGA-PBE) gives the calculated powder diffraction line list in this record (λ = 1.5418 Å (Cu Kα)).

Structural model:
Cell lengths 10.026, 10.026, 9.329 Å; angles 90.00, 90.00, 120.00 degrees
Element x y z (fractional)
Tl  0.000  0.000  0.183
Tl  0.000  0.000  0.817
Tl  0.002  0.670  0.489
Tl  0.128  0.446  0.148
Tl  0.318  0.872  0.148
Tl  0.330  0.333  0.489
Tl  0.333  0.002  0.511
Tl  0.446  0.318  0.852
Tl  0.554  0.682  0.148
Tl  0.667  0.998  0.489
Tl  0.670  0.667  0.511
Tl  0.682  0.128  0.852
Tl  0.872  0.554  0.852
Tl  0.998  0.330  0.511
Bi  0.333  0.667  0.793
Bi  0.667  0.333  0.207
Se  0.000  0.000  0.500
Se  0.068  0.363  0.828
Se  0.294  0.932  0.828
Se  0.333  0.667  0.484
Se  0.363  0.294  0.172
Se  0.637  0.706  0.828
Se  0.667  0.333  0.516
Se  0.706  0.068  0.172
Se  0.932  0.637  0.172

Main lines, in order of rising 2θ (5° ≤ 2θ ≤ 70°):
d/Å, I (rel.)
3.415, 421
3.282, 609
3.110, 934
3.096, 764
2.894, 1000
2.764, 364
2.257, 436
2.118, 747

[4]
For TlBiSe2, a structure optimized by DFT (GGA-PBE) gives the calculated powder diffraction line list in this record (λ = 1.5418 Å (Cu Kα)).

Structural model:
Cell lengths 5.301, 5.301, 5.301 Å; angles 60.00, 60.00, 60.00 degrees
Element x y z (fractional)
Tl  0.000  0.000  0.000
Bi  0.500  0.500  0.500
Se  0.250  0.250  0.250
Se  0.750  0.750  0.750

Main lines, in order of rising 2θ (5° ≤ 2θ ≤ 70°):
d/Å, I (rel.)
3.749, 224
2.651, 1000
2.164, 73
1.874, 182
1.676, 103
1.530, 381

[5]
For Tl2BiSe2, a structure optimized by DFT (GGA-PBE) gives the calculated powder diffraction line list in this record (λ = 1.5418 Å (Cu Kα)).

Structural model:
Cell lengths 6.891, 11.218, 4.101 Å; angles 90.00, 90.00, 90.00 degrees
Element x y z (fractional)
Tl  0.078  0.161  0.000
Tl  0.422  0.661  0.000
Tl  0.578  0.339  0.000
Tl  0.922  0.839  0.000
Bi  0.000  0.500  0.000
Bi  0.500  0.000  0.000
Se  0.213  0.364  0.500
Se  0.287  0.864  0.500
Se  0.713  0.136  0.500
Se  0.787  0.636  0.500

Main lines, in order of rising 2θ (5° ≤ 2θ ≤ 70°):
d/Å, I (rel.)
4.101, 406
3.289, 941
2.984, 395
2.638, 446
2.565, 1000
2.126, 168
2.051, 194
1.740, 314

[6]
For TlBi2Se3, a structure optimized by DFT (GGA-PBE) gives the calculated powder diffraction line list in this record (λ = 1.5418 Å (Cu Kα)).

Structural model:
Cell lengths 7.469, 4.212, 11.878 Å; angles 90.00, 99.23, 90.00 degrees
Element x y z (fractional)
Tl  0.021  0.250  0.329
Tl  0.979  0.750  0.671
Bi  0.247  0.250  0.999
Bi  0.399  0.250  0.651
Bi  0.601  0.750  0.349
Bi  0.753  0.750  0.001
Se  0.128  0.750  0.139
Se  0.286  0.750  0.493
Se  0.394  0.750  0.849
Se  0.606  0.250  0.151
Se  0.714  0.250  0.507
Se  0.872  0.250  0.861

Main lines, in order of rising 2θ (5° ≤ 2θ ≤ 70°):
d/Å, I (rel.)
3.908, 351
3.415, 446
3.369, 1000
3.220, 908
2.783, 633
2.570, 454
2.141, 717
2.106, 355

Please write out number 4 again, unchanged.
For TlBiSe2, a structure optimized by DFT (GGA-PBE) gives the calculated powder diffraction line list in this record (λ = 1.5418 Å (Cu Kα)).

Structural model:
Cell lengths 5.301, 5.301, 5.301 Å; angles 60.00, 60.00, 60.00 degrees
Element x y z (fractional)
Tl  0.000  0.000  0.000
Bi  0.500  0.500  0.500
Se  0.250  0.250  0.250
Se  0.750  0.750  0.750

Main lines, in order of rising 2θ (5° ≤ 2θ ≤ 70°):
d/Å, I (rel.)
3.749, 224
2.651, 1000
2.164, 73
1.874, 182
1.676, 103
1.530, 381

Please write out number 6 again, unchanged.
For TlBi2Se3, a structure optimized by DFT (GGA-PBE) gives the calculated powder diffraction line list in this record (λ = 1.5418 Å (Cu Kα)).

Structural model:
Cell lengths 7.469, 4.212, 11.878 Å; angles 90.00, 99.23, 90.00 degrees
Element x y z (fractional)
Tl  0.021  0.250  0.329
Tl  0.979  0.750  0.671
Bi  0.247  0.250  0.999
Bi  0.399  0.250  0.651
Bi  0.601  0.750  0.349
Bi  0.753  0.750  0.001
Se  0.128  0.750  0.139
Se  0.286  0.750  0.493
Se  0.394  0.750  0.849
Se  0.606  0.250  0.151
Se  0.714  0.250  0.507
Se  0.872  0.250  0.861

Main lines, in order of rising 2θ (5° ≤ 2θ ≤ 70°):
d/Å, I (rel.)
3.908, 351
3.415, 446
3.369, 1000
3.220, 908
2.783, 633
2.570, 454
2.141, 717
2.106, 355